Starting from the GGA+U geometry in Alexandria, the XRD peak list of LiFe5O8 was simulated for Cu Kα (weighted mean of Kα1 and Kα2).
No peak broadening, texture or thermal motion is included.

Cell and atoms:
a b c (Å): 8.263 8.263 8.263
angles (deg): 90.00 90.00 90.00
Space group P4_332 (No. 212)
One atom of each set of equivalent atoms:
Li1 0.125 0.125 0.125 [4 per cell]
Fe1 0.001 0.999 0.499 [8 per cell]
Fe2 0.124 0.375 0.374 [12 per cell]
O1 0.111 0.873 0.113 [24 per cell]
O2 0.115 0.385 0.615 [8 per cell]

Principal peaks in the range 10° ≤ 2θ ≤ 90°, sorted by position:
2θ (°), I/Imax, hkl
15.2, 13, 1 1 0
24.1, 17, 2 1 0
26.4, 7, 2 1 1
30.6, 38, 2 2 0
36.1, 100, 3 1 1
43.8, 16, 4 0 0
54.4, 13, 4 2 2
58.0, 35, 5 1 1
63.7, 46, 4 4 0
75.4, 10, 5 3 3